Computed X-ray diffraction stick pattern of BaAcZn10 for Cu Kα (weighted mean of Kα1 and Kα2), from DFT lattice parameters and positions (PBE).
Intensities are scaled so that the largest is 100.

Peak list (8 most intense, 2θ = 5–70°, sorted by position)
d = 3.242 Å, 2θ = 27.52°, intensity 47
d = 2.825 Å, 2θ = 31.67°, intensity 22
d = 2.452 Å, 2θ = 36.66°, intensity 24
d = 2.367 Å, 2θ = 38.02°, intensity 100
d = 2.162 Å, 2θ = 41.78°, intensity 24
d = 1.718 Å, 2θ = 53.34°, intensity 15
d = 1.621 Å, 2θ = 56.80°, intensity 20
d = 1.529 Å, 2θ = 60.56°, intensity 16

Structure:
a b c (Å): 4.324 5.668 9.776
angles (deg): 90.00 90.00 90.00
Sites, in units of the cell vectors:
Ba (0.000, 0.000, 0.000)
Ac (0.000, 0.500, 0.500)
Zn (0.000, 0.000, 0.333)
Zn (0.000, 0.000, 0.667)
Zn (0.000, 0.500, 0.166)
Zn (0.000, 0.500, 0.834)
Zn (0.500, 0.000, 0.500)
Zn (0.500, 0.256, 0.258)
Zn (0.500, 0.256, 0.742)
Zn (0.500, 0.500, 0.000)
Zn (0.500, 0.744, 0.258)
Zn (0.500, 0.744, 0.742)

Computed X-ray diffraction stick pattern of AcBe13 for Cu Kα (weighted mean of Kα1 and Kα2), from DFT lattice parameters and positions (PBE).
Intensities are scaled so that the largest is 100.

Peak list (8 most intense, 2θ = 5–70°, sorted by position)
d = 5.267 Å, 2θ = 16.83°, intensity 92
d = 3.724 Å, 2θ = 23.89°, intensity 100
d = 3.041 Å, 2θ = 29.37°, intensity 44
d = 2.355 Å, 2θ = 38.21°, intensity 69
d = 2.150 Å, 2θ = 42.02°, intensity 57
d = 1.756 Å, 2θ = 52.09°, intensity 26
d = 1.666 Å, 2θ = 55.14°, intensity 25
d = 1.408 Å, 2θ = 66.41°, intensity 29

Structure:
a b c (Å): 7.448 7.448 7.448
angles (deg): 60.00 60.00 60.00
Sites, in units of the cell vectors:
Ac (0.250, 0.250, 0.250)
Ac (0.750, 0.750, 0.750)
Be (0.000, 0.000, 0.000)
Be (0.065, 0.284, 0.716)
Be (0.065, 0.716, 0.935)
Be (0.065, 0.935, 0.284)
Be (0.216, 0.435, 0.784)
Be (0.216, 0.565, 0.435)
Be (0.216, 0.784, 0.565)
Be (0.284, 0.065, 0.935)
Be (0.284, 0.716, 0.065)
Be (0.284, 0.935, 0.716)
Be (0.435, 0.216, 0.565)
Be (0.435, 0.565, 0.784)
Be (0.435, 0.784, 0.216)
Be (0.500, 0.500, 0.500)
Be (0.565, 0.216, 0.784)
Be (0.565, 0.435, 0.216)
Be (0.565, 0.784, 0.435)
Be (0.716, 0.065, 0.284)
Be (0.716, 0.284, 0.935)
Be (0.716, 0.935, 0.065)
Be (0.784, 0.216, 0.435)
Be (0.784, 0.435, 0.565)
Be (0.784, 0.565, 0.216)
Be (0.935, 0.065, 0.716)
Be (0.935, 0.284, 0.065)
Be (0.935, 0.716, 0.284)

Computed X-ray diffraction stick pattern of CaAc2Be2N4 for Cu Kα (weighted mean of Kα1 and Kα2), from DFT lattice parameters and positions (PBE).
Intensities are scaled so that the largest is 100.

Peak list (8 most intense, 2θ = 5–70°, sorted by position)
d = 5.861 Å, 2θ = 15.12°, intensity 100
d = 3.220 Å, 2θ = 27.70°, intensity 53
d = 3.187 Å, 2θ = 28.00°, intensity 52
d = 3.091 Å, 2θ = 28.89°, intensity 37
d = 2.937 Å, 2θ = 30.44°, intensity 66
d = 2.578 Å, 2θ = 34.81°, intensity 58
d = 2.273 Å, 2θ = 39.64°, intensity 60
d = 2.189 Å, 2θ = 41.25°, intensity 47

Structure:
a b c (Å): 6.693 6.693 6.246
angles (deg): 109.57 109.57 28.89
Sites, in units of the cell vectors:
Ca (0.000, 0.000, 0.000)
Ac (0.136, 0.136, 0.586)
Ac (0.864, 0.864, 0.414)
Be (0.321, 0.321, 0.015)
Be (0.679, 0.679, 0.985)
N (0.212, 0.212, 0.144)
N (0.451, 0.451, 0.237)
N (0.549, 0.549, 0.763)
N (0.788, 0.788, 0.856)

Computed X-ray diffraction stick pattern of Ac3Be2CdO8 for Cu Kα (weighted mean of Kα1 and Kα2), from DFT lattice parameters and positions (PBE).
Intensities are scaled so that the largest is 100.

Peak list (8 most intense, 2θ = 5–70°, sorted by position)
d = 3.985 Å, 2θ = 22.31°, intensity 94
d = 2.864 Å, 2θ = 31.23°, intensity 97
d = 2.774 Å, 2θ = 32.27°, intensity 100
d = 2.277 Å, 2θ = 39.59°, intensity 38
d = 1.992 Å, 2θ = 45.53°, intensity 45
d = 1.805 Å, 2θ = 50.56°, intensity 28
d = 1.760 Å, 2θ = 51.96°, intensity 23
d = 1.618 Å, 2θ = 56.90°, intensity 36

Structure:
a b c (Å): 5.548 5.548 7.134
angles (deg): 90.00 90.00 120.00
Sites, in units of the cell vectors:
Ac (0.000, 0.000, 0.000)
Ac (0.333, 0.667, 0.664)
Ac (0.667, 0.333, 0.336)
Be (0.333, 0.667, 0.205)
Be (0.667, 0.333, 0.795)
Cd (0.000, 0.000, 0.500)
O (0.175, 0.350, 0.296)
O (0.175, 0.825, 0.296)
O (0.333, 0.667, 0.984)
O (0.350, 0.175, 0.704)
O (0.650, 0.825, 0.296)
O (0.667, 0.333, 0.016)
O (0.825, 0.175, 0.704)
O (0.825, 0.650, 0.704)

Computed X-ray diffraction stick pattern of Cs4Ac3BeO8 for Cu Kα (weighted mean of Kα1 and Kα2), from DFT lattice parameters and positions (PBE).
Intensities are scaled so that the largest is 100.

Peak list (8 most intense, 2θ = 5–70°, sorted by position)
d = 3.564 Å, 2θ = 24.98°, intensity 75
d = 3.131 Å, 2θ = 28.50°, intensity 100
d = 3.090 Å, 2θ = 28.90°, intensity 64
d = 3.074 Å, 2θ = 29.05°, intensity 48
d = 2.655 Å, 2θ = 33.76°, intensity 86
d = 2.134 Å, 2θ = 42.35°, intensity 43
d = 1.911 Å, 2θ = 47.58°, intensity 32
d = 1.565 Å, 2θ = 59.04°, intensity 31

Structure:
a b c (Å): 7.740 7.740 7.885
angles (deg): 112.17 112.17 55.97
Sites, in units of the cell vectors:
Cs (0.000, 0.000, 0.000)
Cs (0.000, 0.500, 0.000)
Cs (0.500, 0.000, 0.000)
Cs (0.500, 0.500, 0.000)
Ac (0.000, 0.000, 0.500)
Ac (0.000, 0.500, 0.500)
Ac (0.500, 0.000, 0.500)
Be (0.500, 0.500, 0.500)
O (0.202, 0.202, 0.677)
O (0.208, 0.208, 0.271)
O (0.278, 0.646, 0.620)
O (0.354, 0.722, 0.380)
O (0.646, 0.278, 0.620)
O (0.722, 0.354, 0.380)
O (0.792, 0.792, 0.729)
O (0.798, 0.798, 0.323)

Computed X-ray diffraction stick pattern of AcBeCuPt2 for Cu Kα (weighted mean of Kα1 and Kα2), from DFT lattice parameters and positions (PBE).
Intensities are scaled so that the largest is 100.

Peak list (8 most intense, 2θ = 5–70°, sorted by position)
d = 3.775 Å, 2θ = 23.56°, intensity 40
d = 2.732 Å, 2θ = 32.78°, intensity 41
d = 2.612 Å, 2θ = 34.34°, intensity 100
d = 2.517 Å, 2θ = 35.67°, intensity 16
d = 2.240 Å, 2θ = 40.26°, intensity 16
d = 2.213 Å, 2θ = 40.77°, intensity 21
d = 1.867 Å, 2θ = 48.78°, intensity 20
d = 1.553 Å, 2θ = 59.52°, intensity 25

Structure:
a b c (Å): 5.568 5.568 7.551
angles (deg): 90.00 90.00 121.23
Sites, in units of the cell vectors:
Ac (0.250, 0.750, 0.771)
Ac (0.750, 0.250, 0.229)
Be (0.250, 0.250, 0.000)
Be (0.750, 0.750, 0.000)
Cu (0.000, 0.000, 0.500)
Cu (0.500, 0.500, 0.500)
Pt (0.103, 0.897, 0.198)
Pt (0.397, 0.603, 0.198)
Pt (0.603, 0.397, 0.802)
Pt (0.897, 0.103, 0.802)

Computed X-ray diffraction stick pattern of Ac2Be3CuSi4 for Cu Kα (weighted mean of Kα1 and Kα2), from DFT lattice parameters and positions (PBE).
Intensities are scaled so that the largest is 100.

Peak list (8 most intense, 2θ = 5–70°, sorted by position)
d = 4.915 Å, 2θ = 18.05°, intensity 26
d = 3.866 Å, 2θ = 23.00°, intensity 100
d = 2.974 Å, 2θ = 30.05°, intensity 24
d = 2.585 Å, 2θ = 34.71°, intensity 56
d = 2.544 Å, 2θ = 35.28°, intensity 74
d = 2.103 Å, 2θ = 43.02°, intensity 27
d = 1.847 Å, 2θ = 49.33°, intensity 28
d = 1.631 Å, 2θ = 56.41°, intensity 29

Structure:
a b c (Å): 4.205 4.205 9.830
angles (deg): 90.00 90.00 90.00
Sites, in units of the cell vectors:
Ac (0.000, 0.500, 0.249)
Ac (0.500, 0.000, 0.751)
Be (0.000, 0.000, 0.000)
Be (0.000, 0.500, 0.622)
Be (0.500, 0.000, 0.378)
Cu (0.500, 0.500, 0.000)
Si (0.000, 0.000, 0.500)
Si (0.000, 0.500, 0.871)
Si (0.500, 0.000, 0.129)
Si (0.500, 0.500, 0.500)

Computed X-ray diffraction stick pattern of AcErBeN3 for Cu Kα (weighted mean of Kα1 and Kα2), from DFT lattice parameters and positions (PBE).
Intensities are scaled so that the largest is 100.

Peak list (8 most intense, 2θ = 5–70°, sorted by position)
d = 6.996 Å, 2θ = 12.65°, intensity 32
d = 3.535 Å, 2θ = 25.19°, intensity 30
d = 3.498 Å, 2θ = 25.46°, intensity 54
d = 3.081 Å, 2θ = 28.98°, intensity 100
d = 2.934 Å, 2θ = 30.47°, intensity 38
d = 2.849 Å, 2θ = 31.40°, intensity 39
d = 2.480 Å, 2θ = 36.22°, intensity 52
d = 2.462 Å, 2θ = 36.49°, intensity 54

Structure:
a b c (Å): 7.184 3.432 7.368
angles (deg): 90.00 103.11 90.00
Sites, in units of the cell vectors:
Ac (0.227, 0.250, 0.186)
Ac (0.773, 0.750, 0.814)
Er (0.173, 0.250, 0.656)
Er (0.827, 0.750, 0.344)
Be (0.395, 0.750, 0.926)
Be (0.605, 0.250, 0.074)
N (0.152, 0.750, 0.881)
N (0.162, 0.750, 0.429)
N (0.477, 0.250, 0.851)
N (0.523, 0.750, 0.149)
N (0.838, 0.250, 0.571)
N (0.848, 0.250, 0.119)